No. 1
This entry pairs a crystal structure of Tb8ZnTe4Se3 with its theoretical X-ray diffraction stick pattern. Radiation: copper Kα. Structure: a crystal structure in Alexandria, relaxed with GGA-PBE.
Neutral-atom scattering factors, no anomalous dispersion.

```
data_Tb8ZnTe4Se3
_cell_length_a 8.4262
_cell_length_b 8.4262
_cell_length_c 21.2169
_cell_angle_alpha 90.00
_cell_angle_beta 90.00
_cell_angle_gamma 120.00
_space_group_name_H-M_alt 'R -3 m'
_space_group_IT_number 166
_space_group_name_Hall '-R 3 2"'
loop_
_atom_site_label
_atom_site_fract_x
_atom_site_fract_y
_atom_site_fract_z
_atom_site_occupancy
Tb1 0.0000 0.0000 0.2396 1
Tb2 0.0072 0.5036 0.2406 1
Zn1 0.0000 0.0000 0.5000 1
Te1 0.0000 0.0000 0.0000 1
Te2 0.0000 0.5000 0.0000 1
Se1 0.0000 0.5000 0.5000 1
```

Most intense lines, 2θ from 15° to 90°, by angle:
hkl 2 0 2, 2θ 25.8, intensity 7
hkl 0 2 4, 2θ 29.7, intensity 100
hkl 2 0 8, 2θ 42.1, intensity 35
hkl 2 2 0, 2θ 42.9, intensity 38
hkl 4 0 4, 2θ 53.1, intensity 20
hkl 0 4 8, 2θ 61.7, intensity 11
hkl 2 2 12, 2θ 69.4, intensity 13
hkl 2 4 4, 2θ 70.6, intensity 16
hkl 4 2 8, 2θ 78.1, intensity 11
hkl 6 0 0, 2θ 78.7, intensity 8



No. 2
This entry pairs a crystal structure of Tb3ThSe6 with its theoretical X-ray diffraction stick pattern. Radiation: copper Kα. Structure: a crystal structure in Alexandria, relaxed with GGA-PBE.
Neutral-atom scattering factors, no anomalous dispersion.

```
data_Tb3ThSe6
_cell_length_a 11.625
_cell_length_b 4.107
_cell_length_c 11.935
_cell_angle_alpha 90.00
_cell_angle_beta 108.45
_cell_angle_gamma 90.00
_space_group_name_H-M_alt 'P 1 21/m 1'
_space_group_IT_number 11
_space_group_name_Hall '-P 2yb'
loop_
_atom_site_label
_atom_site_fract_x
_atom_site_fract_y
_atom_site_fract_z
_atom_site_occupancy
Tb1 0.069 0.250 0.166 1
Tb2 0.179 0.750 0.501 1
Tb3 0.341 0.250 0.920 1
Th1 0.454 0.250 0.304 1
Se1 0.018 0.250 0.383 1
Se2 0.105 0.250 0.937 1
Se3 0.245 0.750 0.276 1
Se4 0.308 0.750 0.748 1
Se5 0.384 0.250 0.533 1
Se6 0.417 0.750 0.098 1
```

Most intense lines, 2θ from 15° to 90°, by angle:
hkl 1 0 -3, 2θ 22.4, intensity 52
hkl 3 0 -1, 2θ 23.0, intensity 83
hkl 2 1 1, 2θ 29.6, intensity 100
hkl 2 0 -4, 2θ 30.6, intensity 39
hkl 0 1 3, 2θ 32.2, intensity 35
hkl 3 1 0, 2θ 32.7, intensity 72
hkl 4 1 -3, 2θ 40.4, intensity 65
hkl 1 1 4, 2θ 41.6, intensity 42
hkl 0 2 0, 2θ 44.1, intensity 87
hkl 5 0 1, 2θ 44.3, intensity 34



No. 3
This entry pairs a crystal structure of Tb4Tm3ThSe8 with its theoretical X-ray diffraction stick pattern. Radiation: copper Kα. Structure: a crystal structure in Alexandria, relaxed with GGA-PBE.
Neutral-atom scattering factors, no anomalous dispersion.

```
data_Tb4Tm3ThSe8
_cell_length_a 8.1791
_cell_length_b 8.1791
_cell_length_c 19.9559
_cell_angle_alpha 90.00
_cell_angle_beta 90.00
_cell_angle_gamma 120.00
_space_group_name_H-M_alt 'R -3 m'
_space_group_IT_number 166
_space_group_name_Hall '-R 3 2"'
loop_
_atom_site_label
_atom_site_fract_x
_atom_site_fract_y
_atom_site_fract_z
_atom_site_occupancy
Tb1 0.0000 0.0000 0.0000 1
Tb2 0.0000 0.5000 0.0000 1
Tm1 0.0000 0.5000 0.5000 1
Th1 0.0000 0.0000 0.5000 1
Se1 0.0000 0.0000 0.2473 1
Se2 0.0088 0.5044 0.7506 1
```

Most intense lines, 2θ from 15° to 90°, by angle:
hkl 2 0 2, 2θ 26.7, intensity 25
hkl 0 2 4, 2θ 31.0, intensity 100
hkl 2 2 0, 2θ 44.3, intensity 37
hkl 2 0 8, 2θ 44.4, intensity 37
hkl 2 2 6, 2θ 52.5, intensity 9
hkl 4 0 4, 2θ 55.0, intensity 20
hkl 0 4 8, 2θ 64.5, intensity 12
hkl 2 4 4, 2θ 73.2, intensity 17
hkl 2 2 12, 2θ 73.4, intensity 17
hkl 6 0 0, 2θ 81.6, intensity 19



No. 4
This entry pairs a crystal structure of TbY3Tl4Se8 with its theoretical X-ray diffraction stick pattern. Radiation: copper Kα. Structure: a crystal structure in Alexandria, relaxed with GGA-PBE.
Neutral-atom scattering factors, no anomalous dispersion.

```
data_TbY3Tl4Se8
_cell_length_a 8.3878
_cell_length_b 8.3878
_cell_length_c 23.3088
_cell_angle_alpha 90.00
_cell_angle_beta 90.00
_cell_angle_gamma 120.00
_space_group_name_H-M_alt 'R -3 m'
_space_group_IT_number 166
_space_group_name_Hall '-R 3 2"'
loop_
_atom_site_label
_atom_site_fract_x
_atom_site_fract_y
_atom_site_fract_z
_atom_site_occupancy
Tb1 0.0000 0.0000 0.0000 1
Y1 0.0000 0.5000 0.0000 1
Tl1 0.0000 0.0000 0.5000 1
Tl2 0.0000 0.5000 0.5000 1
Se1 0.0000 0.0000 0.2651 1
Se2 0.0005 0.5002 0.2650 1
```

Most intense lines, 2θ from 15° to 90°, by angle:
hkl 2 0 2, 2θ 25.7, intensity 14
hkl 0 2 4, 2θ 29.0, intensity 100
hkl 2 0 5, 2θ 31.2, intensity 11
hkl 2 0 8, 2θ 39.7, intensity 37
hkl 2 2 0, 2θ 43.1, intensity 35
hkl 4 0 4, 2θ 52.8, intensity 19
hkl 0 4 8, 2θ 60.0, intensity 11
hkl 2 2 12, 2θ 65.5, intensity 13
hkl 2 4 4, 2θ 70.5, intensity 16
hkl 4 2 8, 2θ 76.7, intensity 11